Structure and calculated X-ray powder pattern of Zr2CoSi2 (a cell relaxed with GGA-PBE; λ = 1.5418 Å (Cu Kα)).

Main lines, in order of rising 2θ (2θ = 5–70°):
d/Å	I (rel.)	hkl
3.558	32	1 1 0
3.110	22	2 0 -3
2.510	59	3 1 -1
2.481	100	3 1 -2
2.477	85	1 1 2
2.430	57	1 1 -3
2.263	58	3 1 -3
2.083	49	0 0 4
2.051	53	3 1 1
1.948	54	0 2 0
1.533	32	5 1 -5
1.423	27	0 2 4

Lattice parameters (Å, degrees): 9.949 3.896 9.479 90.00 118.57 90.00
Space group C2/m (No. 12)
Asymmetric unit:
Zr 0.003 0.000 0.176 [4 per cell]
Zr 0.187 0.000 0.602 [4 per cell]
Co 0.223 0.500 0.873 [4 per cell]
Si 0.013 0.500 0.376 [4 per cell]
Si 0.144 0.500 0.069 [4 per cell]